Entry 1:
Starting from DFT lattice parameters and positions (GGA-PBE), the X-ray powder pattern of Nd5Cd2Os2 was calculated for Cu Kα (λ = 1.5418 Å).
Peak positions follow from Bragg's law for the DFT cell and can differ from measured ones.

Principal peaks in the range 10° ≤ 2θ ≤ 90°, sorted by position:
10.60°, I = 99; 30.14°, I = 77; 31.25°, I = 95; 31.59°, I = 86; 32.52°, I = 56; 33.64°, I = 97; 36.58°, I = 50; 37.19°, I = 100; 43.36°, I = 38; 62.50°, I = 28

Atomic structure:
a b c (Å): 16.695 7.710 7.869
angles (deg): 90.00 90.00 90.00
Space group Cmce (No. 64)
Unique sites:
Nd 0.000 0.000 0.000 (multiplicity 4)
Nd 0.120 0.184 0.315 (multiplicity 16)
Cd 0.223 0.000 0.000 (multiplicity 8)
Os 0.000 0.112 0.615 (multiplicity 8)

---

Entry 2:
Starting from DFT lattice parameters and positions (GGA-PBE), the X-ray powder pattern of NdSm2Er7 was calculated for Cu Kα (λ = 1.5418 Å).
Peak positions follow from Bragg's law for the DFT cell and can differ from measured ones.

Principal peaks in the range 10° ≤ 2θ ≤ 90°, sorted by position:
10.68°, I = 10; 26.49°, I = 10; 30.99°, I = 31; 32.43°, I = 25; 33.46°, I = 100; 45.46°, I = 20; 56.71°, I = 22; 58.50°, I = 17; 60.45°, I = 9; 70.29°, I = 11

Atomic structure:
a b c (Å): 3.614 11.544 16.567
angles (deg): 90.00 90.00 90.00
Space group Immm (No. 71)
Unique sites:
Nd 0.000 0.000 0.000 (multiplicity 2)
Sm 0.000 0.500 0.324 (multiplicity 4)
Er 0.000 0.000 0.336 (multiplicity 4)
Er 0.000 0.254 0.155 (multiplicity 8)
Er 0.000 0.500 0.000 (multiplicity 2)

---

Entry 3:
Starting from DFT lattice parameters and positions (GGA-PBE), the X-ray powder pattern of Li3ZnSn2 was calculated for Cu Kα (λ = 1.5418 Å).
Peak positions follow from Bragg's law for the DFT cell and can differ from measured ones.

Principal peaks in the range 10° ≤ 2θ ≤ 90°, sorted by position:
10.67°, I = 12; 17.36°, I = 20; 21.44°, I = 19; 25.72°, I = 100; 39.76°, I = 30; 40.01°, I = 27; 40.31°, I = 35; 47.70°, I = 18; 54.78°, I = 13; 66.66°, I = 12

Atomic structure:
a b c (Å): 5.369 16.578 5.416
angles (deg): 90.00 90.00 90.00
Space group Ibam (No. 72)
Unique sites:
Li 0.000 0.000 0.250 (multiplicity 4)
Li 0.218 0.197 0.000 (multiplicity 8)
Zn 0.000 0.500 0.250 (multiplicity 4)
Sn 0.226 0.372 0.000 (multiplicity 8)

---

Entry 4:
Starting from DFT lattice parameters and positions (GGA-PBE), the X-ray powder pattern of Ag5BS4 was calculated for Cu Kα (λ = 1.5418 Å).
Peak positions follow from Bragg's law for the DFT cell and can differ from measured ones.

Principal peaks in the range 10° ≤ 2θ ≤ 90°, sorted by position:
13.24°, I = 70; 25.50°, I = 25; 26.65°, I = 97; 34.62°, I = 28; 38.05°, I = 45; 40.45°, I = 100; 44.22°, I = 59; 47.06°, I = 25; 61.47°, I = 32; 86.99°, I = 22

Atomic structure:
a b c (Å): 11.586 11.586 11.586
angles (deg): 90.00 90.00 90.00
Space group F-43m (No. 216)
Unique sites:
Ag 0.000 0.000 0.220 (multiplicity 24)
Ag 0.164 0.164 0.164 (multiplicity 16)
B 0.000 0.000 0.500 (multiplicity 4)
B 0.250 0.250 0.750 (multiplicity 4)
S 0.099 0.099 0.401 (multiplicity 16)
S 0.151 0.151 0.849 (multiplicity 16)

---

What did the second record say?
Starting from DFT lattice parameters and positions (GGA-PBE), the X-ray powder pattern of NdSm2Er7 was calculated for Cu Kα (λ = 1.5418 Å).
Peak positions follow from Bragg's law for the DFT cell and can differ from measured ones.

Principal peaks in the range 10° ≤ 2θ ≤ 90°, sorted by position:
10.68°, I = 10; 26.49°, I = 10; 30.99°, I = 31; 32.43°, I = 25; 33.46°, I = 100; 45.46°, I = 20; 56.71°, I = 22; 58.50°, I = 17; 60.45°, I = 9; 70.29°, I = 11

Atomic structure:
a b c (Å): 3.614 11.544 16.567
angles (deg): 90.00 90.00 90.00
Space group Immm (No. 71)
Unique sites:
Nd 0.000 0.000 0.000 (multiplicity 2)
Sm 0.000 0.500 0.324 (multiplicity 4)
Er 0.000 0.000 0.336 (multiplicity 4)
Er 0.000 0.254 0.155 (multiplicity 8)
Er 0.000 0.500 0.000 (multiplicity 2)